[1]
SrLiLa15Co4O32: theoretical XRD peak list (Cu Kα (weighted mean of Kα1 and Kα2)), based on DFT lattice parameters and positions (GGA+U).
Neutral-atom scattering factors, no anomalous dispersion.

Cell and atoms:
```
data_SrLiLa15Co4O32
_chemical_formula_sum 'Sr1 Li1 La15 Co4 O32'
_cell_length_a 8.769
_cell_length_b 8.774
_cell_length_c 10.641
_cell_angle_alpha 107.90
_cell_angle_beta 107.81
_cell_angle_gamma 93.90
_space_group_name_H-M_alt 'P 1'
_space_group_IT_number 1
_space_group_name_Hall 'P 1'
loop_
_atom_site_label
_atom_site_type_symbol
_atom_site_fract_x
_atom_site_fract_y
_atom_site_fract_z
Sr1 Sr 0.000 0.000 0.000
Li1 Li 0.114 0.391 0.127
La1 La 0.231 0.777 0.754
La2 La 0.234 0.783 0.255
La3 La 0.247 0.257 0.873
La4 La 0.249 0.256 0.381
La5 La 0.474 0.033 0.130
La6 La 0.478 0.027 0.628
La7 La 0.500 0.511 0.755
La8 La 0.503 0.512 0.255
La9 La 0.724 0.274 0.502
La10 La 0.727 0.272 0.000
La11 La 0.748 0.761 0.632
La12 La 0.752 0.754 0.127
La13 La 0.976 0.530 0.382
La14 La 0.977 0.528 0.871
La15 La 0.995 0.003 0.502
Co1 Co 0.362 0.642 0.503
Co2 Co 0.364 0.644 0.003
Co3 Co 0.862 0.143 0.752
Co4 Co 0.864 0.142 0.253
O1 O 0.024 0.981 0.748
O2 O 0.041 0.966 0.260
O3 O 0.202 0.803 0.505
O4 O 0.208 0.800 0.002
O5 O 0.241 0.522 0.319
O6 O 0.243 0.522 0.066
O7 O 0.243 0.523 0.567
O8 O 0.245 0.523 0.819
O9 O 0.300 0.203 0.626
O10 O 0.301 0.218 0.133
O11 O 0.425 0.080 0.879
O12 O 0.429 0.083 0.378
O13 O 0.481 0.762 0.686
O14 O 0.483 0.763 0.442
O15 O 0.483 0.763 0.940
O16 O 0.485 0.764 0.186
O17 O 0.524 0.482 0.505
O18 O 0.527 0.480 0.002
O19 O 0.686 0.321 0.256
O20 O 0.700 0.303 0.751
O21 O 0.740 0.026 0.815
O22 O 0.742 0.027 0.076
O23 O 0.743 0.023 0.317
O24 O 0.743 0.024 0.569
O25 O 0.789 0.693 0.873
O26 O 0.803 0.710 0.379
O27 O 0.924 0.581 0.628
O28 O 0.930 0.573 0.128
O29 O 0.978 0.259 0.432
O30 O 0.981 0.261 0.686
O31 O 0.982 0.268 0.191
O32 O 0.982 0.269 0.935
```

Main lines, low angle first (2θ = 10–90°):
two_theta  intensity
24.54  42
24.66  42
27.84  38
31.57  34
31.66  100
33.50  52
33.69  51
42.62  25
44.10  38
44.25  38
48.11  27
48.39  26

---

[2]
SrLi4La15Co4O32: theoretical XRD peak list (Cu Kα (weighted mean of Kα1 and Kα2)), based on DFT lattice parameters and positions (GGA+U).
Neutral-atom scattering factors, no anomalous dispersion.

Cell and atoms:
```
data_SrLi4La15Co4O32
_chemical_formula_sum 'Sr1 Li4 La15 Co4 O32'
_cell_length_a 8.800
_cell_length_b 8.800
_cell_length_c 10.692
_cell_angle_alpha 107.69
_cell_angle_beta 107.69
_cell_angle_gamma 94.35
_space_group_name_H-M_alt 'P 1'
_space_group_IT_number 1
_space_group_name_Hall 'P 1'
loop_
_atom_site_label
_atom_site_type_symbol
_atom_site_fract_x
_atom_site_fract_y
_atom_site_fract_z
Sr1 Sr 0.000 0.000 0.000
Li1 Li 0.111 0.387 0.125
Li2 Li 0.111 0.389 0.624
Li3 Li 0.611 0.889 0.376
Li4 Li 0.613 0.889 0.875
La1 La 0.222 0.777 0.747
La2 La 0.223 0.778 0.253
La3 La 0.244 0.249 0.875
La4 La 0.246 0.250 0.373
La5 La 0.472 0.029 0.625
La6 La 0.475 0.031 0.126
La7 La 0.498 0.502 0.252
La8 La 0.498 0.502 0.748
La9 La 0.723 0.277 0.500
La10 La 0.727 0.273 0.000
La11 La 0.750 0.754 0.627
La12 La 0.751 0.756 0.125
La13 La 0.969 0.525 0.874
La14 La 0.971 0.528 0.375
La15 La 0.998 0.002 0.500
Co1 Co 0.360 0.640 0.000
Co2 Co 0.360 0.640 0.500
Co3 Co 0.859 0.140 0.750
Co4 Co 0.860 0.141 0.250
O1 O 0.040 0.960 0.255
O2 O 0.040 0.960 0.745
O3 O 0.182 0.818 0.500
O4 O 0.205 0.795 0.000
O5 O 0.238 0.518 0.562
O6 O 0.238 0.519 0.316
O7 O 0.239 0.519 0.062
O8 O 0.240 0.518 0.818
O9 O 0.290 0.209 0.625
O10 O 0.299 0.215 0.129
O11 O 0.428 0.069 0.374
O12 O 0.429 0.074 0.876
O13 O 0.481 0.761 0.938
O14 O 0.481 0.762 0.684
O15 O 0.482 0.760 0.182
O16 O 0.482 0.762 0.438
O17 O 0.521 0.479 0.000
O18 O 0.540 0.460 0.500
O19 O 0.679 0.318 0.751
O20 O 0.682 0.321 0.249
O21 O 0.734 0.020 0.811
O22 O 0.734 0.021 0.066
O23 O 0.738 0.018 0.566
O24 O 0.738 0.019 0.312
O25 O 0.785 0.701 0.871
O26 O 0.791 0.710 0.375
O27 O 0.926 0.571 0.124
O28 O 0.931 0.572 0.626
O29 O 0.979 0.266 0.934
O30 O 0.980 0.266 0.189
O31 O 0.981 0.262 0.688
O32 O 0.982 0.262 0.434
```

Main lines, low angle first (2θ = 10–90°):
two_theta  intensity
24.53  55
27.64  25
31.49  100
33.51  73
42.39  21
43.97  51
48.12  38
54.75  22
55.44  20
58.65  35
76.41  15
86.91  17

---

[3]
LaMgCoO3: theoretical XRD peak list (Cu Kα (weighted mean of Kα1 and Kα2)), based on DFT lattice parameters and positions (GGA+U).
Neutral-atom scattering factors, no anomalous dispersion.

Cell and atoms:
```
data_LaMgCoO3
_chemical_formula_sum 'La1 Mg1 Co1 O3'
_cell_length_a 3.854
_cell_length_b 3.854
_cell_length_c 7.189
_cell_angle_alpha 90.00
_cell_angle_beta 90.00
_cell_angle_gamma 90.00
_space_group_name_H-M_alt 'P 1'
_space_group_IT_number 1
_space_group_name_Hall 'P 1'
loop_
_atom_site_label
_atom_site_type_symbol
_atom_site_fract_x
_atom_site_fract_y
_atom_site_fract_z
La1 La 0.000 0.000 0.000
Mg1 Mg 0.000 0.000 0.500
Co1 Co 0.500 0.500 0.500
O1 O 0.000 0.500 0.500
O2 O 0.500 0.000 0.500
O3 O 0.500 0.500 0.000
```

Main lines, low angle first (2θ = 10–90°):
two_theta  intensity
23.08  19
24.77  93
26.24  100
32.87  50
35.22  19
41.59  52
44.52  24
47.16  30
50.77  18
53.99  39
54.77  27
61.83  17

---

[4]
LaMgCoO3: theoretical XRD peak list (Cu Kα (weighted mean of Kα1 and Kα2)), based on DFT lattice parameters and positions (GGA+U).
Neutral-atom scattering factors, no anomalous dispersion.

Cell and atoms:
```
data_LaMgCoO3
_chemical_formula_sum 'La1 Mg1 Co1 O3'
_cell_length_a 4.521
_cell_length_b 4.521
_cell_length_c 4.521
_cell_angle_alpha 81.16
_cell_angle_beta 81.16
_cell_angle_gamma 81.16
_space_group_name_H-M_alt 'P 1'
_space_group_IT_number 1
_space_group_name_Hall 'P 1'
loop_
_atom_site_label
_atom_site_type_symbol
_atom_site_fract_x
_atom_site_fract_y
_atom_site_fract_z
La1 La 0.000 0.000 0.000
Mg1 Mg 0.599 0.599 0.599
Co1 Co 0.320 0.320 0.320
O1 O 0.334 0.334 0.835
O2 O 0.334 0.835 0.334
O3 O 0.835 0.334 0.334
```

Main lines, low angle first (2θ = 10–90°):
two_theta  intensity
20.05  62
26.50  43
29.94  20
30.39  100
36.68  18
43.18  87
44.19  14
48.35  12
51.68  14
54.00  20
62.98  27
63.23  19

---

[5]
La2MgCo2Sb2Pb2O12: theoretical XRD peak list (Cu Kα (weighted mean of Kα1 and Kα2)), based on DFT lattice parameters and positions (GGA+U).
Neutral-atom scattering factors, no anomalous dispersion.

Cell and atoms:
```
data_La2MgCo2Sb2Pb2O12
_chemical_formula_sum 'La2 Mg1 Co2 Sb2 Pb2 O12'
_cell_length_a 5.820
_cell_length_b 5.882
_cell_length_c 8.820
_cell_angle_alpha 89.75
_cell_angle_beta 84.17
_cell_angle_gamma 86.19
_space_group_name_H-M_alt 'P 1'
_space_group_IT_number 1
_space_group_name_Hall 'P 1'
loop_
_atom_site_label
_atom_site_type_symbol
_atom_site_fract_x
_atom_site_fract_y
_atom_site_fract_z
La1 La 0.000 0.000 0.000
La2 La 0.453 0.626 0.516
Mg1 Mg 0.663 0.595 0.158
Co1 Co 0.104 0.566 0.279
Co2 Co 0.422 0.061 0.708
Sb1 Sb 0.466 0.080 0.245
Sb2 Sb 0.919 0.571 0.733
Pb1 Pb 0.383 0.460 0.922
Pb2 Pb 0.923 0.104 0.483
O1 O 0.056 0.519 0.515
O2 O 0.107 0.277 0.795
O3 O 0.168 0.245 0.192
O4 O 0.194 0.761 0.761
O5 O 0.336 0.783 0.173
O6 O 0.347 0.019 0.463
O7 O 0.613 0.358 0.316
O8 O 0.617 0.143 0.034
O9 O 0.646 0.381 0.699
O10 O 0.718 0.838 0.669
O11 O 0.756 0.865 0.270
O12 O 0.835 0.633 0.958
```

Main lines, low angle first (2θ = 10–90°):
two_theta  intensity
18.19  44
23.86  21
28.11  45
29.17  75
30.29  100
30.46  56
30.96  52
31.38  59
32.17  34
34.27  31
36.11  28
41.15  29

---

[6]
La2MgCo2Sb2Pb2O12: theoretical XRD peak list (Cu Kα (weighted mean of Kα1 and Kα2)), based on DFT lattice parameters and positions (GGA+U).
Neutral-atom scattering factors, no anomalous dispersion.

Cell and atoms:
```
data_La2MgCo2Sb2Pb2O12
_chemical_formula_sum 'La2 Mg1 Co2 Sb2 Pb2 O12'
_cell_length_a 5.784
_cell_length_b 6.496
_cell_length_c 8.627
_cell_angle_alpha 98.34
_cell_angle_beta 92.42
_cell_angle_gamma 90.75
_space_group_name_H-M_alt 'P 1'
_space_group_IT_number 1
_space_group_name_Hall 'P 1'
loop_
_atom_site_label
_atom_site_type_symbol
_atom_site_fract_x
_atom_site_fract_y
_atom_site_fract_z
La1 La 0.000 0.000 0.000
La2 La 0.473 0.649 0.562
Mg1 Mg 0.512 0.330 0.206
Co1 Co 0.445 0.919 0.305
Co2 Co 0.969 0.568 0.758
Sb1 Sb 0.531 0.149 0.759
Sb2 Sb 0.977 0.567 0.295
Pb1 Pb 0.005 0.167 0.511
Pb2 Pb 0.453 0.652 0.966
O1 O 0.031 0.666 0.091
O2 O 0.165 0.816 0.401
O3 O 0.211 0.795 0.798
O4 O 0.262 0.406 0.348
O5 O 0.340 0.389 0.705
O6 O 0.396 0.039 0.115
O7 O 0.577 0.029 0.532
O8 O 0.640 0.660 0.284
O9 O 0.722 0.780 0.816
O10 O 0.847 0.279 0.203
O11 O 0.854 0.273 0.794
O12 O 0.870 0.518 0.518
```

Main lines, low angle first (2θ = 10–90°):
two_theta  intensity
20.86  46
27.63  82
27.77  59
28.38  76
30.33  85
30.96  100
31.56  75
32.22  44
32.32  37
42.44  48
45.09  32
53.91  33

---

[7]
La2MgCo2Sb2Pb2O12: theoretical XRD peak list (Cu Kα (weighted mean of Kα1 and Kα2)), based on DFT lattice parameters and positions (GGA+U).
Neutral-atom scattering factors, no anomalous dispersion.

Cell and atoms:
```
data_La2MgCo2Sb2Pb2O12
_chemical_formula_sum 'La2 Mg1 Co2 Sb2 Pb2 O12'
_cell_length_a 5.907
_cell_length_b 6.028
_cell_length_c 9.079
_cell_angle_alpha 86.99
_cell_angle_beta 82.49
_cell_angle_gamma 86.08
_space_group_name_H-M_alt 'P 1'
_space_group_IT_number 1
_space_group_name_Hall 'P 1'
loop_
_atom_site_label
_atom_site_type_symbol
_atom_site_fract_x
_atom_site_fract_y
_atom_site_fract_z
La1 La 0.000 0.000 0.000
La2 La 0.464 0.621 0.465
Mg1 Mg 0.394 0.065 0.243
Co1 Co 0.055 0.574 0.815
Co2 Co 0.835 0.009 0.347
Sb1 Sb 0.007 0.545 0.245
Sb2 Sb 0.533 0.039 0.790
Pb1 Pb 0.050 0.188 0.598
Pb2 Pb 0.557 0.508 0.018
O1 O 0.138 0.600 0.030
O2 O 0.142 0.844 0.292
O3 O 0.248 0.881 0.769
O4 O 0.279 0.432 0.664
O5 O 0.301 0.387 0.288
O6 O 0.413 0.087 0.012
O7 O 0.526 0.999 0.438
O8 O 0.735 0.755 0.199
O9 O 0.760 0.790 0.847
O10 O 0.861 0.520 0.456
O11 O 0.862 0.265 0.197
O12 O 0.884 0.290 0.836
```

Main lines, low angle first (2θ = 10–90°):
two_theta  intensity
17.39  25
23.48  19
26.73  29
28.72  45
29.74  40
30.45  100
30.59  46
30.96  21
31.79  37
33.38  27
34.18  18
36.66  21

---

[8]
La2MgCo2Sb2Pb2O12: theoretical XRD peak list (Cu Kα (weighted mean of Kα1 and Kα2)), based on DFT lattice parameters and positions (GGA+U).
Neutral-atom scattering factors, no anomalous dispersion.

Cell and atoms:
```
data_La2MgCo2Sb2Pb2O12
_chemical_formula_sum 'La2 Mg1 Co2 Sb2 Pb2 O12'
_cell_length_a 6.026
_cell_length_b 7.253
_cell_length_c 7.365
_cell_angle_alpha 91.44
_cell_angle_beta 90.94
_cell_angle_gamma 98.13
_space_group_name_H-M_alt 'P 1'
_space_group_IT_number 1
_space_group_name_Hall 'P 1'
loop_
_atom_site_label
_atom_site_type_symbol
_atom_site_fract_x
_atom_site_fract_y
_atom_site_fract_z
La1 La 0.000 0.000 0.000
La2 La 0.481 0.253 0.552
Mg1 Mg 0.264 0.647 0.523
Co1 Co 0.034 0.456 0.828
Co2 Co 0.492 0.909 0.267
Sb1 Sb 0.471 0.868 0.799
Sb2 Sb 0.993 0.346 0.301
Pb1 Pb 0.476 0.443 0.071
Pb2 Pb 0.837 0.812 0.486
O1 O 0.119 0.385 0.565
O2 O 0.154 0.733 0.807
O3 O 0.201 0.585 0.260
O4 O 0.261 0.204 0.257
O5 O 0.352 0.105 0.852
O6 O 0.376 0.922 0.515
O7 O 0.551 0.636 0.670
O8 O 0.604 0.822 0.040
O9 O 0.716 0.461 0.348
O10 O 0.767 0.010 0.734
O11 O 0.801 0.100 0.328
O12 O 0.928 0.312 0.028
```

Main lines, low angle first (2θ = 10–90°):
two_theta  intensity
23.65  25
24.31  27
24.81  40
27.35  20
27.96  37
29.60  23
29.96  41
30.27  100
31.51  39
32.52  21
36.35  28
44.09  20

---

[9]
La2MgCo2Sb2Pb2O12: theoretical XRD peak list (Cu Kα (weighted mean of Kα1 and Kα2)), based on DFT lattice parameters and positions (GGA+U).
Neutral-atom scattering factors, no anomalous dispersion.

Cell and atoms:
```
data_La2MgCo2Sb2Pb2O12
_chemical_formula_sum 'La2 Mg1 Co2 Sb2 Pb2 O12'
_cell_length_a 5.698
_cell_length_b 6.158
_cell_length_c 8.520
_cell_angle_alpha 91.85
_cell_angle_beta 92.18
_cell_angle_gamma 90.85
_space_group_name_H-M_alt 'P 1'
_space_group_IT_number 1
_space_group_name_Hall 'P 1'
loop_
_atom_site_label
_atom_site_type_symbol
_atom_site_fract_x
_atom_site_fract_y
_atom_site_fract_z
La1 La 0.000 0.000 0.000
La2 La 0.467 0.649 0.450
Mg1 Mg 0.859 0.413 0.800
Co1 Co 0.008 0.750 0.643
Co2 Co 0.456 0.102 0.261
Sb1 Sb 0.444 0.097 0.711
Sb2 Sb 0.943 0.577 0.222
Pb1 Pb 0.412 0.525 0.995
Pb2 Pb 0.915 0.133 0.448
O1 O 0.042 0.564 0.453
O2 O 0.129 0.304 0.175
O3 O 0.164 0.259 0.799
O4 O 0.232 0.772 0.193
O5 O 0.264 0.838 0.794
O6 O 0.321 0.033 0.489
O7 O 0.601 0.371 0.637
O8 O 0.640 0.410 0.250
O9 O 0.649 0.166 0.906
O10 O 0.697 0.883 0.640
O11 O 0.756 0.855 0.257
O12 O 0.874 0.614 0.988
```

Main lines, low angle first (2θ = 10–90°):
two_theta  intensity
29.02  50
29.31  54
29.75  100
29.94  51
30.57  38
30.86  90
31.43  67
42.49  28
42.94  25
44.42  28
53.15  30
54.25  25

---

[10]
Sr2LaMnCoO7: theoretical XRD peak list (Cu Kα (weighted mean of Kα1 and Kα2)), based on DFT lattice parameters and positions (GGA+U).
Neutral-atom scattering factors, no anomalous dispersion.

Cell and atoms:
```
data_Sr2LaMnCoO7
_chemical_formula_sum 'Sr4 La2 Mn2 Co2 O14'
_cell_length_a 3.931
_cell_length_b 7.722
_cell_length_c 10.494
_cell_angle_alpha 100.60
_cell_angle_beta 100.79
_cell_angle_gamma 90.02
_space_group_name_H-M_alt 'P 1'
_space_group_IT_number 1
_space_group_name_Hall 'P 1'
loop_
_atom_site_label
_atom_site_type_symbol
_atom_site_fract_x
_atom_site_fract_y
_atom_site_fract_z
Sr1 Sr 0.000 0.000 0.000
Sr2 Sr 0.000 0.499 0.001
Sr3 Sr 0.820 0.406 0.642
Sr4 Sr 0.821 0.914 0.642
La1 La 0.635 0.317 0.273
La2 La 0.639 0.818 0.274
Mn1 Mn 0.417 0.208 0.834
Mn2 Mn 0.417 0.708 0.834
Co1 Co 0.223 0.111 0.446
Co2 Co 0.226 0.612 0.452
O1 O 0.119 0.058 0.238
O2 O 0.122 0.561 0.243
O3 O 0.213 0.352 0.432
O4 O 0.219 0.863 0.433
O5 O 0.319 0.659 0.638
O6 O 0.322 0.161 0.645
O7 O 0.416 0.458 0.832
O8 O 0.416 0.956 0.832
O9 O 0.516 0.757 0.032
O10 O 0.517 0.259 0.034
O11 O 0.717 0.107 0.433
O12 O 0.717 0.608 0.434
O13 O 0.915 0.707 0.830
O14 O 0.916 0.208 0.833
```

Main lines, low angle first (2θ = 10–90°):
two_theta  intensity
31.72  74
32.03  72
32.51  100
42.35  18
42.36  18
44.75  19
46.19  31
47.07  29
56.39  20
57.31  28
57.88  27
85.22  14